For TlNiPt2F, a DFT-relaxed cell (PBE+U, Alexandria) gives the computed powder XRD pattern in this record (λ = 1.5418 Å (Cu Kα)).
No peak broadening, texture or thermal motion is included.

Structure:
```
5
Lattice="4.3110 0.0000 0.0000 0.0000 4.3110 0.0000 0.0000 0.0000 4.7859" Properties=species:S:1:pos:R:3 pbc="T T T"
Tl 0.0000 0.0000 0.0000
Ni 2.1555 2.1555 0.0000
Pt 0.0000 2.1555 2.3930
Pt 2.1555 0.0000 2.3930
F 0.0000 0.0000 2.3930
```

Most intense lines, 10° ≤ 2θ ≤ 90°, low angle first:
hkl	2theta	Rel. int.
0 0 1	18.54	6
1 0 0	20.60	11
1 1 1	34.90	100
0 0 2	37.59	23
2 0 0	41.91	34
2 0 2	57.55	27
2 2 0	60.77	11
1 1 3	66.11	16
3 1 1	72.03	25
2 2 2	73.69	13